No. 1
For Pa3HgC4N12, a crystal structure in Alexandria, relaxed with PBE gives the theoretical powder XRD pattern in this record (copper Kα).
No peak broadening, texture or thermal motion is included.

Structure:
```
data_Pa3HgC4N12
_chemical_formula_sum 'Pa9 Hg3 C12 N36'
_cell_length_a 10.2016
_cell_length_b 10.2016
_cell_length_c 8.5910
_cell_angle_alpha 90.00
_cell_angle_beta 90.00
_cell_angle_gamma 120.00
_space_group_name_H-M_alt 'R 3 2'
_space_group_IT_number 155
_space_group_name_Hall 'R 3 2"'
loop_
_atom_site_label
_atom_site_type_symbol
_atom_site_fract_x
_atom_site_fract_y
_atom_site_fract_z
_atom_site_occupancy
Pa1 Pa 0.0000 0.5286 0.0000 1
Hg1 Hg 0.0000 0.0000 0.0000 1
C1 C 0.0000 0.0000 0.5000 1
C2 C 0.0000 0.4739 0.5000 1
N1 N 0.0000 0.6067 0.5000 1
N2 N 0.0000 0.8669 0.5000 1
N3 N 0.0065 0.2043 0.8235 1
```

Principal peaks in the range 15° ≤ 2θ ≤ 90°, most intense first:
2θ 22.63, I 100.0, hkl 0 2 1
2θ 28.99, I 85.9, hkl 2 0 2
2θ 35.19, I 35.5, hkl 2 2 0
2θ 47.75, I 33.2, hkl 2 2 3
2θ 47.06, I 25.8, hkl 0 2 4
2θ 42.25, I 21.5, hkl 4 0 1
2θ 46.22, I 15.8, hkl 0 4 2
2θ 56.12, I 14.9, hkl 2 4 1

No. 2
For Pm2HgC2N6, a crystal structure in Alexandria, relaxed with PBE gives the theoretical powder XRD pattern in this record (copper Kα).
No peak broadening, texture or thermal motion is included.

Structure:
```
data_Pm2HgC2N6
_chemical_formula_sum 'Pm4 Hg2 C4 N12'
_cell_length_a 11.3134
_cell_length_b 5.7972
_cell_length_c 6.2799
_cell_angle_alpha 90.00
_cell_angle_beta 112.89
_cell_angle_gamma 90.00
_space_group_name_H-M_alt 'C 1 2/m 1'
_space_group_IT_number 12
loop_
_space_group_symop_operation_xyz
'x,y,z'
'-x,-y,-z'
'-x,y,-z'
'x,-y,z'
'x+1/2,y+1/2,z'
'-x+1/2,-y+1/2,-z'
'-x+1/2,y+1/2,-z'
'x+1/2,-y+1/2,z'
loop_
_atom_site_label
_atom_site_type_symbol
_atom_site_fract_x
_atom_site_fract_y
_atom_site_fract_z
_atom_site_occupancy
Pm1 Pm 0.1586 0.0000 0.2810 1
Hg1 Hg 0.0000 0.5000 0.0000 1
C1 C 0.1536 0.0000 0.7398 1
N1 N 0.0730 0.0000 0.8483 1
N2 N 0.1974 0.1896 0.6755 1
```

Principal peaks in the range 15° ≤ 2θ ≤ 90°, most intense first:
2θ 17.94, I 100.0, hkl 2 0 -1
2θ 29.99, I 82.3, hkl 3 1 0
2θ 25.47, I 76.4, hkl 1 1 1
2θ 32.62, I 50.7, hkl 1 1 -2
2θ 35.91, I 40.5, hkl 2 2 -1
2θ 30.85, I 37.8, hkl 0 2 0
2θ 42.93, I 29.0, hkl 5 1 -1
2θ 48.39, I 19.2, hkl 4 2 -2

No. 3
For Pr2HgC2N6, a crystal structure in Alexandria, relaxed with PBE gives the theoretical powder XRD pattern in this record (copper Kα).
No peak broadening, texture or thermal motion is included.

Structure:
```
data_Pr2HgC2N6
_chemical_formula_sum 'Pr4 Hg2 C4 N12'
_cell_length_a 11.2670
_cell_length_b 6.0124
_cell_length_c 6.3821
_cell_angle_alpha 90.00
_cell_angle_beta 112.40
_cell_angle_gamma 90.00
_space_group_name_H-M_alt 'C 1 2/m 1'
_space_group_IT_number 12
loop_
_space_group_symop_operation_xyz
'x,y,z'
'-x,-y,-z'
'-x,y,-z'
'x,-y,z'
'x+1/2,y+1/2,z'
'-x+1/2,-y+1/2,-z'
'-x+1/2,y+1/2,-z'
'x+1/2,-y+1/2,z'
loop_
_atom_site_label
_atom_site_type_symbol
_atom_site_fract_x
_atom_site_fract_y
_atom_site_fract_z
_atom_site_occupancy
Pr1 Pr 0.1616 0.0000 0.2803 1
Hg1 Hg 0.0000 0.5000 0.0000 1
C1 C 0.1542 0.0000 0.7382 1
N1 N 0.0739 0.0000 0.8469 1
N2 N 0.1981 0.1830 0.6744 1
```

Principal peaks in the range 15° ≤ 2θ ≤ 90°, most intense first:
2θ 29.71, I 100.0, hkl 3 1 0
2θ 17.91, I 78.9, hkl 2 0 -1
2θ 24.87, I 64.3, hkl 1 1 1
2θ 31.89, I 42.2, hkl 1 1 -2
2θ 34.92, I 34.4, hkl 2 2 -1
2θ 42.90, I 31.4, hkl 5 1 -1
2θ 46.08, I 24.5, hkl 3 1 -3
2θ 52.73, I 17.3, hkl 6 0 0

No. 4
For RbHgC3S3N3, a crystal structure in Alexandria, relaxed with PBE gives the theoretical powder XRD pattern in this record (copper Kα).
No peak broadening, texture or thermal motion is included.

Structure:
```
data_RbHgC3S3N3
_chemical_formula_sum 'Rb2 Hg2 C6 S6 N6'
_cell_length_a 11.6247
_cell_length_b 4.3074
_cell_length_c 11.7361
_cell_angle_alpha 90.00
_cell_angle_beta 113.99
_cell_angle_gamma 90.00
_space_group_name_H-M_alt 'P 1 21/m 1'
_space_group_IT_number 11
loop_
_space_group_symop_operation_xyz
'x,y,z'
'-x,-y,-z'
'-x,y+1/2,-z'
'x,-y+1/2,z'
loop_
_atom_site_label
_atom_site_type_symbol
_atom_site_fract_x
_atom_site_fract_y
_atom_site_fract_z
_atom_site_occupancy
Rb1 Rb 0.2102 0.2500 0.0967 1
Hg1 Hg 0.2394 0.7500 0.6531 1
C1 C 0.0467 0.7500 0.7851 1
C2 C 0.2923 0.7500 0.4024 1
C3 C 0.4765 0.2500 0.8503 1
S1 S 0.0166 0.7500 0.6343 1
S2 S 0.3245 0.2500 0.8213 1
S3 S 0.3896 0.7500 0.5521 1
N1 N 0.0646 0.7500 0.8916 1
N2 N 0.2303 0.7500 0.2940 1
N3 N 0.4149 0.7500 0.1272 1
```

Principal peaks in the range 15° ≤ 2θ ≤ 90°, most intense first:
2θ 24.96, I 100.0, hkl 1 1 1
2θ 22.25, I 74.7, hkl 0 1 1
2θ 15.19, I 66.4, hkl 1 0 -2
2θ 16.69, I 65.5, hkl 2 0 0
2θ 30.92, I 59.3, hkl 1 1 -3
2θ 21.39, I 44.4, hkl 1 0 2
2θ 34.47, I 32.5, hkl 3 1 -3
2θ 41.95, I 24.2, hkl 0 2 0